MnTlH2OF4: calculated powder X-ray diffraction pattern (λ = 1.5418 Å (Cu Kα)), based on a cell relaxed with PBE+U.
Kinematic intensities with the Lorentz-polarization factor, no thermal factor.

Main lines, by angle (15° ≤ 2θ ≤ 90°):
- 2θ = 16.90°, rel. 46.3
- 2θ = 23.66°, rel. 73.7
- 2θ = 26.38°, rel. 51.9
- 2θ = 26.82°, rel. 100.0
- 2θ = 28.12°, rel. 59.9
- 2θ = 31.48°, rel. 46.3
- 2θ = 35.83°, rel. 36.3
- 2θ = 38.80°, rel. 59.7

Cell and atoms:
```
36
Lattice="6.924 -3.379 0.000 6.924 3.379 0.000 -2.514 0.000 10.491" Properties=species:S:1:pos:R:3 pbc="T T T"
Mn 2.205 1.689 5.246
Mn 5.039 1.761 7.868
Mn 3.462 -1.689 0.000
Mn 6.295 -1.761 2.623
Tl 5.629 1.593 0.630
Tl 6.962 1.593 4.616
Tl 4.372 -1.593 5.875
Tl 5.705 -1.593 9.861
H 0.718 0.580 7.312
H 2.194 0.784 7.840
H 1.974 -0.580 2.067
H 3.451 -0.784 2.594
H 7.883 0.784 7.897
H 9.360 0.580 8.424
H 9.140 -0.784 2.651
H 10.616 -0.580 3.179
O 1.489 1.198 7.287
O 2.746 -1.198 2.041
O 8.588 1.198 8.450
O 9.845 -1.198 3.204
F 0.503 0.279 1.917
F -0.754 -0.279 7.163
F 4.033 1.663 5.931
F 1.037 0.139 10.125
F 2.294 -0.139 4.880
F 6.044 1.663 9.805
F 3.855 0.435 8.505
F 5.111 -0.435 3.260
F 6.223 0.435 7.231
F 7.479 -0.435 1.986
F 5.290 -1.663 0.686
F 9.040 0.139 5.611
F 10.297 -0.139 0.366
F 7.301 -1.663 4.560
F 12.088 0.279 3.328
F 10.831 -0.279 8.574
```